Computed powder X-ray diffraction pattern
Compound: Cu3O2F2
Radiation: copper Kα
Structure: a structure optimized by DFT (PBE)
Neutral-atom scattering factors, no anomalous dispersion.

Top 10 peaks for 5° ≤ 2θ ≤ 70°, most intense first:
2theta, d (Å), I (rel.)
34.93, 2.568, 100.0
43.03, 2.102, 71.4
17.43, 5.088, 61.0
33.70, 2.659, 57.5
35.10, 2.557, 57.4
23.66, 3.760, 56.5
35.26, 2.545, 54.3
48.69, 1.870, 41.2
50.48, 1.808, 35.3
24.08, 3.696, 34.2

Cell: 5.6642 6.0905 5.3215 Å, 90.00 116.06 90.00°
Fractional coordinates of all 14 atoms:
Cu: 0.0000 0.0000 0.0000
Cu: 0.0000 0.5000 0.5000
Cu: 0.4647 0.1202 0.7503
Cu: 0.4647 0.3798 0.2503
Cu: 0.5353 0.6202 0.7497
Cu: 0.5353 0.8798 0.2497
O: 0.3203 0.1239 0.0292
O: 0.3203 0.3761 0.5292
O: 0.6797 0.6239 0.4708
O: 0.6797 0.8761 0.9708
F: 0.2214 0.6163 0.8777
F: 0.2214 0.8837 0.3777
F: 0.7786 0.1163 0.6223
F: 0.7786 0.3837 0.1223